# Er7Tl2Co2
Computed X-ray diffraction stick pattern, Cu Kα (λ = 1.5418 Å). Input: the GGA-PBE geometry in Alexandria.
Kinematic intensities with the Lorentz-polarization factor, no thermal factor.

Main lines, sorted by position (2θ = 10–80°):
2θ (°), I_rel, hkl
20.71, 20, 0 2 1
26.13, 31, 2 0 1
28.12, 48, 2 2 0
29.20, 54, 1 1 2
30.44, 41, 0 2 2
30.96, 22, 2 2 1
32.96, 69, 0 4 0
37.59, 40, 1 3 2
38.34, 100, 2 2 2
62.45, 20, 2 6 2

Atomic structure:
```
data_Er7Tl2Co2
_chemical_formula_sum 'Er14 Tl4 Co4'
_cell_length_a 7.817
_cell_length_b 10.871
_cell_length_c 6.980
_cell_angle_alpha 90.00
_cell_angle_beta 90.00
_cell_angle_gamma 90.00
_space_group_name_H-M_alt 'C m m m'
_space_group_IT_number 65
_space_group_name_Hall '-C 2 2'
loop_
_atom_site_label
_atom_site_fract_x
_atom_site_fract_y
_atom_site_fract_z
_atom_site_occupancy
Er1 0.000 0.000 0.000 1
Er2 0.000 0.500 0.229 1
Er3 0.250 0.250 0.240 1
Tl1 0.185 0.000 0.500 1
Co1 0.000 0.292 0.000 1
```